The following is a computed PXRD pattern of CsHAu2F8. It was derived from a structure optimized by DFT (PBE), using Cu Kα, 1.54184 Å.

The 10 most intense peaks (10° ≤ 2θ ≤ 80°), sorted by position:
d = 8.096 Å, 2θ = 10.93°, intensity 66, hkl 0 0 3
d = 4.217 Å, 2θ = 21.07°, intensity 46, hkl 1 0 1
d = 4.039 Å, 2θ = 22.00°, intensity 44, hkl 0 1 2
d = 3.499 Å, 2θ = 25.46°, intensity 68, hkl 1 0 4
d = 3.212 Å, 2θ = 27.77°, intensity 100, hkl 0 1 5
d = 2.472 Å, 2θ = 36.34°, intensity 75, hkl 1 1 0
d = 2.111 Å, 2θ = 42.84°, intensity 66, hkl 1 0 10
d = 1.959 Å, 2θ = 46.35°, intensity 46, hkl 2 0 5
d = 1.823 Å, 2θ = 50.05°, intensity 34, hkl 1 1 9
d = 1.607 Å, 2θ = 57.35°, intensity 39, hkl 0 2 10

Crystal structure
```
data_CsHAu2F8
_symmetry_space_group_name_H-M 'R -3 m'
_symmetry_Int_Tables_number 166
_symmetry_space_group_name_Hall '-R 3 2"'
_cell_length_a 4.9439
_cell_length_b 4.9439
_cell_length_c 24.2884
_cell_angle_alpha 90.00
_cell_angle_beta 90.00
_cell_angle_gamma 120.00
loop_
_atom_site_label
_atom_site_type_symbol
_atom_site_fract_x
_atom_site_fract_y
_atom_site_fract_z
Cs1 Cs 0.0000 0.0000 0.0000
H1 H 0.0000 0.0000 0.5000
Au1 Au 0.0000 0.0000 0.2070
F1 F 0.0000 0.0000 0.2891
F2 F 0.0047 0.5023 0.2095
```



The following is a computed PXRD pattern of CsHg2AuF8. It was derived from a structure optimized by DFT (PBE), using Cu Kα, 1.54184 Å.

The 10 most intense peaks (10° ≤ 2θ ≤ 80°), sorted by position:
d = 8.182 Å, 2θ = 10.81°, intensity 29, hkl 0 0 1
d = 4.015 Å, 2θ = 22.14°, intensity 100, hkl 1 1 0
d = 3.738 Å, 2θ = 23.80°, intensity 87, hkl 1 -1 0
d = 3.525 Å, 2θ = 25.27°, intensity 67, hkl 0 1 2
d = 3.239 Å, 2θ = 27.54°, intensity 39, hkl 1 0 2
d = 3.204 Å, 2θ = 27.84°, intensity 44, hkl 0 1 -2
d = 3.172 Å, 2θ = 28.13°, intensity 33, hkl 1 0 -2
d = 2.578 Å, 2θ = 34.79°, intensity 47, hkl 2 0 0
d = 2.321 Å, 2θ = 38.81°, intensity 27, hkl 1 2 2
d = 2.047 Å, 2θ = 44.25°, intensity 29, hkl 1 -2 2

Crystal structure
```
data_CsHg2AuF8
_symmetry_space_group_name_H-M 'P -1'
_symmetry_Int_Tables_number 2
_cell_length_a 5.1730
_cell_length_b 5.8993
_cell_length_c 8.2275
_cell_angle_alpha 84.09
_cell_angle_beta 88.35
_cell_angle_gamma 85.74
loop_
_symmetry_equiv_pos_as_xyz
'x,y,z'
'-x,-y,-z'
loop_
_atom_site_label
_atom_site_type_symbol
_atom_site_fract_x
_atom_site_fract_y
_atom_site_fract_z
Cs1 Cs 0.0000 0.0000 0.0000
Hg1 Hg 0.4954 0.5041 0.2801
Au1 Au 0.0000 0.0000 0.5000
F1 F 0.0331 0.7641 0.6898
F2 F 0.0455 0.7671 0.3430
F3 F 0.4588 0.2666 0.4751
F4 F 0.4722 0.2792 0.9265
```